[1]
This entry pairs a crystal structure of TbAgSeS with its computed XRD peak list. Radiation: Cu Kα, 1.54184 Å. Structure: the PBE geometry in OQMD.

Atomic structure:
```
data_TbAgSeS
_cell_length_a 4.246
_cell_length_b 6.677
_cell_length_c 6.682
_cell_angle_alpha 90.00
_cell_angle_beta 91.30
_cell_angle_gamma 90.00
_space_group_name_H-M_alt 'P 1 21 1'
_space_group_IT_number 4
_space_group_name_Hall 'P 2yb'
loop_
_atom_site_label
_atom_site_fract_x
_atom_site_fract_y
_atom_site_fract_z
Tb1 0.218 0.000 0.266
Ag1 0.001 0.493 0.251
Se1 0.283 0.296 0.951
S1 0.264 0.698 0.550
```

The 10 most intense peaks (2θ = 10–90°), low angle first:
2θ 20.9, rel. 31, (1 0 0)
2θ 24.9, rel. 42, (1 1 0)
2θ 26.7, rel. 68, (0 2 0)
2θ 28.5, rel. 45, (1 1 1)
2θ 36.6, rel. 34, (1 2 -1)
2θ 37.2, rel. 33, (1 1 2)
2θ 38.1, rel. 100, (0 2 2)
2θ 46.6, rel. 35, (2 1 -1)
2θ 47.2, rel. 32, (2 1 1)
2θ 62.2, rel. 35, (2 3 1)


[2]
This entry pairs a crystal structure of Tb2Ag2Se3S with its computed XRD peak list. Radiation: Cu Kα, 1.54184 Å. Structure: the PBE geometry in OQMD.

Atomic structure:
```
data_Tb2Ag2Se3S
_cell_length_a 9.412
_cell_length_b 9.661
_cell_length_c 4.295
_cell_angle_alpha 90.00
_cell_angle_beta 90.81
_cell_angle_gamma 90.00
_space_group_name_H-M_alt 'C 1 m 1'
_space_group_IT_number 8
_space_group_name_Hall 'C -2y'
loop_
_atom_site_label
_atom_site_fract_x
_atom_site_fract_y
_atom_site_fract_z
Tb1 0.000 0.000 0.000
Tb2 0.016 0.500 0.424
Ag1 0.262 0.250 0.233
Se1 0.010 0.298 0.933
Se2 0.210 0.000 0.497
S1 0.309 0.500 0.480
```

The 10 most intense peaks (2θ = 10–90°), low angle first:
2θ 24.7, rel. 69, (1 1 1)
2θ 26.4, rel. 96, (2 2 0)
2θ 33.6, rel. 85, (2 2 -1)
2θ 36.1, rel. 62, (1 3 -1)
2θ 36.2, rel. 74, (1 3 1)
2θ 37.2, rel. 100, (0 4 0)
2θ 38.3, rel. 98, (4 0 0)
2θ 45.4, rel. 59, (3 3 -1)
2θ 45.8, rel. 59, (3 3 1)
2θ 46.3, rel. 87, (2 0 -2)


[3]
This entry pairs a crystal structure of Ag2TeSeS2 with its computed XRD peak list. Radiation: Cu Kα, 1.54184 Å. Structure: the PBE geometry in OQMD.

Atomic structure:
```
data_Ag2TeSeS2
_cell_length_a 7.077
_cell_length_b 11.824
_cell_length_c 8.082
_cell_angle_alpha 90.00
_cell_angle_beta 115.85
_cell_angle_gamma 90.00
_space_group_name_H-M_alt 'C 1 c 1'
_space_group_IT_number 9
_space_group_name_Hall 'C -2yc'
loop_
_atom_site_label
_atom_site_fract_x
_atom_site_fract_y
_atom_site_fract_z
Ag1 0.000 0.055 0.000
Ag2 0.015 0.287 0.481
Te1 0.033 0.392 0.987
Se1 0.287 0.124 0.647
S1 0.237 0.225 0.109
S2 0.271 0.465 0.680
```

The 10 most intense peaks (2θ = 10–90°), low angle first:
2θ 24.5, rel. 63, (0 0 2)
2θ 26.6, rel. 90, (1 3 -1)
2θ 28.1, rel. 89, (2 0 -2)
2θ 31.9, rel. 100, (1 3 1)
2θ 40.6, rel. 46, (1 3 -3)
2θ 45.2, rel. 67, (2 0 2)
2θ 45.4, rel. 22, (2 0 -4)
2θ 47.8, rel. 31, (0 6 1)
2θ 48.8, rel. 25, (3 3 -3)
2θ 51.4, rel. 27, (1 3 3)


[4]
This entry pairs a crystal structure of ZrTlAgTeSeS with its computed XRD peak list. Radiation: Cu Kα, 1.54184 Å. Structure: the PBE geometry in OQMD.

Atomic structure:
```
data_ZrTlAgTeSeS
_cell_length_a 8.441
_cell_length_b 3.956
_cell_length_c 10.177
_cell_angle_alpha 90.00
_cell_angle_beta 110.16
_cell_angle_gamma 90.00
_space_group_name_H-M_alt 'P 1 21/m 1'
_space_group_IT_number 11
_space_group_name_Hall '-P 2yb'
loop_
_atom_site_label
_atom_site_fract_x
_atom_site_fract_y
_atom_site_fract_z
Zr1 0.176 0.250 0.146
Tl1 0.260 0.750 0.740
Ag1 0.428 0.750 0.391
Te1 0.211 0.250 0.443
Se1 0.392 0.750 0.124
S1 0.039 0.250 0.875
```

The 10 most intense peaks (2θ = 10–90°), low angle first:
2θ 22.4, rel. 42, (2 0 0)
2θ 26.3, rel. 50, (1 0 -3)
2θ 29.0, rel. 68, (1 1 -2)
2θ 31.0, rel. 75, (2 1 -1)
2θ 31.9, rel. 100, (2 1 0)
2θ 33.8, rel. 82, (1 0 3)
2θ 34.9, rel. 50, (1 1 -3)
2θ 35.5, rel. 59, (2 1 1)
2θ 43.4, rel. 43, (4 0 -1)
2θ 45.9, rel. 46, (0 2 0)


[5]
This entry pairs a crystal structure of ZrTlAgTeSeS with its computed XRD peak list. Radiation: Cu Kα, 1.54184 Å. Structure: the PBE geometry in OQMD.

Atomic structure:
```
data_ZrTlAgTeSeS
_cell_length_a 8.217
_cell_length_b 4.021
_cell_length_c 10.816
_cell_angle_alpha 90.00
_cell_angle_beta 109.88
_cell_angle_gamma 90.00
_space_group_name_H-M_alt 'P 1 21/m 1'
_space_group_IT_number 11
_space_group_name_Hall '-P 2yb'
loop_
_atom_site_label
_atom_site_fract_x
_atom_site_fract_y
_atom_site_fract_z
Zr1 0.215 0.250 0.176
Tl1 0.231 0.750 0.693
Ag1 0.433 0.750 0.397
Te1 0.074 0.250 0.878
Se1 0.226 0.250 0.425
S1 0.400 0.750 0.156
```

The 10 most intense peaks (2θ = 10–90°), low angle first:
2θ 16.6, rel. 46, (1 0 1)
2θ 23.8, rel. 30, (2 0 -2)
2θ 28.2, rel. 94, (1 1 -2)
2θ 31.1, rel. 100, (2 1 -1)
2θ 32.1, rel. 26, (2 1 0)
2θ 33.2, rel. 54, (1 0 -4)
2θ 33.5, rel. 54, (1 1 -3)
2θ 35.4, rel. 49, (2 1 1)
2θ 45.1, rel. 39, (0 2 0)
2θ 52.1, rel. 38, (3 1 -5)


[6]
This entry pairs a crystal structure of ZrTlAgSeS2 with its computed XRD peak list. Radiation: Cu Kα, 1.54184 Å. Structure: the PBE geometry in OQMD.

Atomic structure:
```
data_ZrTlAgSeS2
_cell_length_a 3.835
_cell_length_b 14.604
_cell_length_c 10.453
_cell_angle_alpha 90.00
_cell_angle_beta 90.00
_cell_angle_gamma 90.00
_space_group_name_H-M_alt 'C m c m'
_space_group_IT_number 63
_space_group_name_Hall '-C 2c 2'
loop_
_atom_site_label
_atom_site_fract_x
_atom_site_fract_y
_atom_site_fract_z
Zr1 0.000 0.000 0.000
Tl1 0.000 0.251 0.250
Ag1 0.000 0.444 0.750
Se1 0.000 0.071 0.750
S1 0.000 0.380 0.532
```

The 10 most intense peaks (2θ = 10–90°), low angle first:
2θ 17.0, rel. 38, (0 0 2)
2θ 20.9, rel. 23, (0 2 2)
2θ 24.4, rel. 15, (0 4 0)
2θ 30.9, rel. 100, (1 3 1)
2θ 34.3, rel. 50, (0 0 4)
2θ 39.5, rel. 41, (1 3 3)
2θ 40.9, rel. 27, (0 6 2)
2θ 42.6, rel. 17, (0 4 4)
2θ 47.4, rel. 15, (2 0 0)
2θ 53.3, rel. 25, (1 3 5)


[7]
This entry pairs a crystal structure of ZrTlAgSeS2 with its computed XRD peak list. Radiation: Cu Kα, 1.54184 Å. Structure: the PBE geometry in OQMD.

Atomic structure:
```
data_ZrTlAgSeS2
_cell_length_a 8.088
_cell_length_b 3.897
_cell_length_c 10.090
_cell_angle_alpha 90.00
_cell_angle_beta 109.25
_cell_angle_gamma 90.00
_space_group_name_H-M_alt 'P 1 21/m 1'
_space_group_IT_number 11
_space_group_name_Hall '-P 2yb'
loop_
_atom_site_label
_atom_site_fract_x
_atom_site_fract_y
_atom_site_fract_z
Zr1 0.204 0.250 0.164
Tl1 0.230 0.750 0.701
Ag1 0.438 0.750 0.391
Se1 0.054 0.250 0.871
S1 0.237 0.250 0.422
S2 0.399 0.750 0.135
```

The 10 most intense peaks (2θ = 10–90°), low angle first:
2θ 17.1, rel. 49, (1 0 1)
2θ 18.6, rel. 35, (0 0 2)
2θ 24.6, rel. 58, (2 0 -2)
2θ 28.7, rel. 31, (1 1 1)
2θ 29.5, rel. 57, (1 1 -2)
2θ 31.9, rel. 100, (2 1 -1)
2θ 35.3, rel. 54, (1 1 -3)
2θ 36.3, rel. 51, (2 1 1)
2θ 46.6, rel. 32, (0 2 0)
2θ 55.1, rel. 33, (3 1 -5)


[8]
This entry pairs a crystal structure of ZrTlAgSeS2 with its computed XRD peak list. Radiation: Cu Kα, 1.54184 Å. Structure: the PBE geometry in OQMD.

Atomic structure:
```
data_ZrTlAgSeS2
_cell_length_a 8.106
_cell_length_b 3.859
_cell_length_c 10.009
_cell_angle_alpha 90.00
_cell_angle_beta 109.64
_cell_angle_gamma 90.00
_space_group_name_H-M_alt 'P 1 21/m 1'
_space_group_IT_number 11
_space_group_name_Hall '-P 2yb'
loop_
_atom_site_label
_atom_site_fract_x
_atom_site_fract_y
_atom_site_fract_z
Zr1 0.189 0.250 0.150
Tl1 0.233 0.750 0.710
Ag1 0.437 0.750 0.389
Se1 0.219 0.250 0.427
S1 0.045 0.250 0.874
S2 0.394 0.750 0.130
```

The 10 most intense peaks (2θ = 10–90°), low angle first:
2θ 23.3, rel. 45, (2 0 0)
2θ 24.6, rel. 48, (2 0 -2)
2θ 24.9, rel. 51, (0 1 1)
2θ 28.9, rel. 33, (1 1 1)
2θ 29.7, rel. 83, (1 1 -2)
2θ 32.1, rel. 100, (2 1 -1)
2θ 34.3, rel. 47, (1 0 3)
2θ 35.6, rel. 74, (1 1 -3)
2θ 36.6, rel. 75, (2 1 1)
2θ 47.1, rel. 42, (0 2 0)


[9]
This entry pairs a crystal structure of Y2Ag2SeS3 with its computed XRD peak list. Radiation: Cu Kα, 1.54184 Å. Structure: the PBE geometry in OQMD.

Atomic structure:
```
data_Y2Ag2SeS3
_cell_length_a 9.478
_cell_length_b 9.229
_cell_length_c 4.161
_cell_angle_alpha 90.00
_cell_angle_beta 90.90
_cell_angle_gamma 90.00
_space_group_name_H-M_alt 'C 1 m 1'
_space_group_IT_number 8
_space_group_name_Hall 'C -2y'
loop_
_atom_site_label
_atom_site_fract_x
_atom_site_fract_y
_atom_site_fract_z
Y1 0.000 0.000 0.000
Y2 0.014 0.500 0.433
Ag1 0.260 0.251 0.199
Se1 0.211 0.000 0.505
S1 0.008 0.299 0.943
S2 0.306 0.500 0.483
```

The 10 most intense peaks (2θ = 10–90°), low angle first:
2θ 21.4, rel. 71, (0 0 1)
2θ 27.0, rel. 100, (2 2 0)
2θ 28.8, rel. 44, (2 0 1)
2θ 28.9, rel. 96, (0 2 1)
2θ 34.5, rel. 87, (2 2 -1)
2θ 34.8, rel. 51, (2 2 1)
2θ 38.0, rel. 79, (4 0 0)
2θ 39.0, rel. 81, (0 4 0)
2θ 48.0, rel. 77, (0 2 2)
2θ 55.6, rel. 41, (4 4 0)


[10]
This entry pairs a crystal structure of Zr2Ag2SeS3 with its computed XRD peak list. Radiation: Cu Kα, 1.54184 Å. Structure: the PBE geometry in OQMD.

Atomic structure:
```
data_Zr2Ag2SeS3
_cell_length_a 12.614
_cell_length_b 5.592
_cell_length_c 6.112
_cell_angle_alpha 90.00
_cell_angle_beta 115.45
_cell_angle_gamma 90.00
_space_group_name_H-M_alt 'C 1 2 1'
_space_group_IT_number 5
_space_group_name_Hall 'C 2y'
loop_
_atom_site_label
_atom_site_fract_x
_atom_site_fract_y
_atom_site_fract_z
Zr1 0.152 0.000 0.396
Ag1 0.115 0.490 0.782
Se1 0.000 0.226 0.000
S1 0.000 0.813 0.500
S2 0.233 0.701 0.211
```

The 10 most intense peaks (2θ = 10–90°), low angle first:
2θ 26.2, rel. 89, (1 1 1)
2θ 27.2, rel. 100, (3 1 -1)
2θ 32.0, rel. 11, (0 2 0)
2θ 34.2, rel. 13, (4 0 -2)
2θ 40.2, rel. 19, (1 1 2)
2θ 43.9, rel. 29, (2 2 -2)
2θ 44.8, rel. 25, (6 0 -2)
2θ 45.5, rel. 33, (4 2 0)
2θ 47.6, rel. 14, (3 1 -3)
2θ 53.6, rel. 13, (1 3 1)


[11]
This entry pairs a crystal structure of SiAg8S6 with its computed XRD peak list. Radiation: Cu Kα, 1.54184 Å. Structure: the PBE geometry in OQMD.

Atomic structure:
```
data_SiAg8S6
_cell_length_a 15.186
_cell_length_b 7.543
_cell_length_c 10.658
_cell_angle_alpha 90.00
_cell_angle_beta 90.00
_cell_angle_gamma 90.00
_space_group_name_H-M_alt 'P n a 21'
_space_group_IT_number 33
_space_group_name_Hall 'P 2c -2n'
loop_
_atom_site_label
_atom_site_fract_x
_atom_site_fract_y
_atom_site_fract_z
Si1 0.123 0.228 0.000
Ag1 0.016 0.510 0.241
Ag2 0.063 0.730 0.013
Ag3 0.069 0.064 0.331
Ag4 0.085 0.101 0.656
Ag5 0.131 0.753 0.480
Ag6 0.226 0.376 0.666
Ag7 0.229 0.499 0.258
Ag8 0.240 0.120 0.454
S1 0.008 0.226 0.117
S2 0.114 0.317 0.482
S3 0.120 0.000 0.879
S4 0.123 0.763 0.243
S5 0.127 0.461 0.881
S6 0.237 0.220 0.120
```

The 10 most intense peaks (2θ = 10–90°), low angle first:
2θ 14.4, rel. 60, (0 1 1)
2θ 28.9, rel. 32, (4 0 2)
2θ 29.0, rel. 100, (0 2 2)
2θ 33.0, rel. 71, (3 1 3)
2θ 34.1, rel. 39, (3 2 2)
2θ 36.1, rel. 36, (5 1 2)
2θ 36.7, rel. 43, (0 3 1)
2θ 37.7, rel. 49, (2 3 0)
2θ 43.9, rel. 40, (6 2 1)
2θ 48.2, rel. 47, (4 2 4)


[12]
This entry pairs a crystal structure of Sm2AgS3 with its computed XRD peak list. Radiation: Cu Kα, 1.54184 Å. Structure: the PBE geometry in OQMD.

Atomic structure:
```
data_Sm2AgS3
_cell_length_a 4.0352
_cell_length_b 4.0352
_cell_length_c 9.6161
_cell_angle_alpha 90.00
_cell_angle_beta 90.00
_cell_angle_gamma 120.00
_space_group_name_H-M_alt 'P -3 m 1'
_space_group_IT_number 164
_space_group_name_Hall '-P 3 2"'
loop_
_atom_site_label
_atom_site_fract_x
_atom_site_fract_y
_atom_site_fract_z
Sm1 0.3333 0.6667 0.1735
Ag1 0.0000 0.0000 0.5000
S1 0.0000 0.0000 0.0000
S2 0.3333 0.6667 0.6665
```

The 10 most intense peaks (2θ = 10–90°), low angle first:
2θ 27.2, rel. 55, (1 0 1)
2θ 27.8, rel. 17, (0 0 3)
2θ 31.7, rel. 100, (0 1 2)
2θ 44.9, rel. 37, (1 1 0)
2θ 45.8, rel. 35, (1 0 4)
2θ 53.7, rel. 17, (1 1 3)
2θ 56.0, rel. 19, (2 0 2)
2θ 74.5, rel. 16, (1 2 2)
2θ 75.8, rel. 15, (1 1 6)
2θ 83.5, rel. 12, (2 1 4)